[1]
Simulated X-ray powder pattern
Compound: Cd4C3
Radiation: Cu Kα
Structure: the PBE geometry in Alexandria

Largest 7 diffraction maxima, in order of falling intensity, 2θ from 10° to 90°:
2θ (°)  Rel. int.
32.17  100.0
37.32  66.0
53.80  43.1
64.09  39.8
88.42  16.9
67.30  14.1
79.57  6.5

Cell: 4.8192 4.8192 4.8192 Å, 90.00 90.00 90.00°
Atoms (fractional coordinates):
Cd  0.0000  0.0000  0.0000
Cd  0.0000  0.5000  0.5000
Cd  0.5000  0.0000  0.5000
Cd  0.5000  0.5000  0.0000
C  0.0000  0.0000  0.5000
C  0.0000  0.5000  0.0000
C  0.5000  0.0000  0.0000

=====

[2]
Simulated X-ray powder pattern
Compound: BPt2Br
Radiation: Cu Kα
Structure: the PBE geometry in Alexandria

Largest 10 diffraction maxima, in order of falling intensity, 2θ from 10° to 90°:
2θ (°)  Rel. int.
29.06  100.0
39.88  54.1
47.54  28.2
29.18  28.2
46.03  22.2
54.42  17.6
31.36  17.4
70.33  14.3
56.76  12.0
18.89  11.7

Cell: 6.7706 6.7706 6.7706 Å, 135.23 135.23 65.17°
Atoms (fractional coordinates):
B  0.0000  0.0000  0.0000
B  0.7500  0.2500  0.5000
Pt  0.0206  0.6250  0.8956
Pt  0.3750  0.2706  0.3956
Pt  0.7294  0.1250  0.1044
Pt  0.8750  0.9794  0.6044
Br  0.2500  0.7500  0.5000
Br  0.5000  0.5000  0.0000

=====

[3]
Simulated X-ray powder pattern
Compound: MgFe2
Radiation: Cu Kα
Structure: the PBE geometry in Alexandria

Largest 10 diffraction maxima, in order of falling intensity, 2θ from 10° to 90°:
2θ (°)  Rel. int.
41.93  100.0
43.29  93.9
61.85  28.5
77.54  26.7
23.84  25.5
76.59  13.7
45.62  6.0
75.36  5.2
74.17  4.1
52.12  4.1

Cell: 7.4644 7.4644 2.5223 Å, 90.00 90.00 120.00°
Atoms (fractional coordinates):
Mg  0.0000  0.0000  0.0000
Mg  0.3333  0.6667  0.5000
Mg  0.6667  0.3333  0.5000
Fe  0.0000  0.3202  0.5000
Fe  0.0000  0.6548  0.0000
Fe  0.3202  0.0000  0.5000
Fe  0.3452  0.3452  0.0000
Fe  0.6548  0.0000  0.0000
Fe  0.6798  0.6798  0.5000

=====

[4]
Simulated X-ray powder pattern
Compound: K2Hg3Ge2S8
Radiation: Cu Kα
Structure: the PBE geometry in Alexandria

Largest 10 diffraction maxima, in order of falling intensity, 2θ from 10° to 90°:
2θ (°)  Rel. int.
27.53  100.0
22.51  80.0
29.02  69.8
14.39  67.0
25.68  61.3
36.63  47.2
18.08  42.7
27.91  38.3
39.14  37.0
19.28  34.4

Cell: 19.6216 6.5350 6.5350 Å, 97.37 90.00 90.00°
Atoms (fractional coordinates):
K  0.1155  0.1985  0.8015
K  0.3845  0.6985  0.3015
K  0.6155  0.3015  0.6985
K  0.8845  0.8015  0.1985
Hg  0.0000  0.3694  0.3694
Hg  0.2459  0.6510  0.7431
Hg  0.2541  0.1510  0.2431
Hg  0.5000  0.8694  0.8694
Hg  0.7459  0.2431  0.1510
Hg  0.7541  0.7431  0.6510
Ge  0.1367  0.7191  0.3011
Ge  0.3633  0.2191  0.8011
Ge  0.6367  0.8011  0.2191
Ge  0.8633  0.3011  0.7191
S  0.0397  0.5956  0.1378
S  0.1261  0.6720  0.6354
S  0.1325  0.0568  0.2604
S  0.2288  0.5732  0.1592
S  0.2712  0.0732  0.6592
S  0.3675  0.5568  0.7604
S  0.3739  0.1720  0.1354
S  0.4603  0.0956  0.6378
S  0.5397  0.6378  0.0956
S  0.6261  0.1354  0.1720
S  0.6325  0.7604  0.5568
S  0.7288  0.6592  0.0732
S  0.7712  0.1592  0.5732
S  0.8675  0.2604  0.0568
S  0.8739  0.6354  0.6720
S  0.9603  0.1378  0.5956